# 1
Calculated powder diffractogram
Compound: Tb2Ga8Fe9
Radiation: λ = 1.5418 Å (Cu Kα)
Structure: the PBE geometry in OQMD
Neutral-atom scattering factors, no anomalous dispersion.

Top 12 peaks for 5° ≤ 2θ ≤ 70°, most intense first:
41.78 deg, d 2.162, I = 100
35.54 deg, d 2.526, I = 69
41.27 deg, d 2.188, I = 54
46.88 deg, d 1.938, I = 41
30.88 deg, d 2.896, I = 34
42.77 deg, d 2.114, I = 33
43.31 deg, d 2.089, I = 32
37.23 deg, d 2.415, I = 31
68.09 deg, d 1.377, I = 21
60.95 deg, d 1.520, I = 17
52.42 deg, d 1.745, I = 15
57.22 deg, d 1.610, I = 12

Structural model:
Unit cell a=6.556 b=6.556 c=6.556 alpha=83.73 beta=83.73 gamma=83.73
Fractional coordinates of all 19 atoms:
Tb 0.137 0.137 0.137
Tb 0.863 0.863 0.863
Ga 0.180 0.500 0.820
Ga 0.180 0.820 0.500
Ga 0.372 0.372 0.372
Ga 0.500 0.180 0.820
Ga 0.500 0.820 0.180
Ga 0.628 0.628 0.628
Ga 0.820 0.180 0.500
Ga 0.820 0.500 0.180
Fe 0.000 0.500 0.500
Fe 0.164 0.164 0.664
Fe 0.164 0.664 0.164
Fe 0.336 0.836 0.836
Fe 0.500 0.000 0.500
Fe 0.500 0.500 0.000
Fe 0.664 0.164 0.164
Fe 0.836 0.336 0.836
Fe 0.836 0.836 0.336

***

# 2
Calculated powder diffractogram
Compound: Sm4GaSbS9
Radiation: λ = 1.5418 Å (Cu Kα)
Structure: the PBE geometry in OQMD
Neutral-atom scattering factors, no anomalous dispersion.

Top 12 peaks for 5° ≤ 2θ ≤ 70°, most intense first:
26.35 deg, d 3.382, I = 100
24.78 deg, d 3.593, I = 62
49.95 deg, d 1.826, I = 50
33.12 deg, d 2.704, I = 50
35.73 deg, d 2.513, I = 42
27.44 deg, d 3.250, I = 30
33.87 deg, d 2.646, I = 30
25.33 deg, d 3.517, I = 29
46.67 deg, d 1.946, I = 28
29.67 deg, d 3.011, I = 27
41.49 deg, d 2.176, I = 26
36.34 deg, d 2.472, I = 25

Structural model:
Unit cell a=13.715 b=10.056 c=10.056 alpha=88.77 beta=90.00 gamma=90.00
Fractional coordinates of all 60 atoms:
Sm 0.100 0.173 0.827
Sm 0.105 0.661 0.439
Sm 0.183 0.448 0.116
Sm 0.187 0.900 0.118
Sm 0.313 0.400 0.618
Sm 0.317 0.948 0.616
Sm 0.395 0.161 0.939
Sm 0.400 0.673 0.327
Sm 0.600 0.327 0.673
Sm 0.605 0.939 0.161
Sm 0.683 0.616 0.948
Sm 0.687 0.618 0.400
Sm 0.813 0.118 0.900
Sm 0.817 0.116 0.448
Sm 0.895 0.439 0.661
Sm 0.900 0.827 0.173
Ga 0.092 0.167 0.376
Ga 0.408 0.667 0.876
Ga 0.592 0.876 0.667
Ga 0.908 0.376 0.167
Sb 0.113 0.654 0.816
Sb 0.387 0.154 0.316
Sb 0.613 0.316 0.154
Sb 0.887 0.816 0.654
S 0.000 0.362 0.362
S 0.000 0.996 0.996
S 0.009 0.374 0.984
S 0.069 0.678 0.170
S 0.081 0.838 0.654
S 0.100 0.472 0.654
S 0.189 0.169 0.564
S 0.199 0.172 0.198
S 0.246 0.849 0.381
S 0.247 0.988 0.871
S 0.253 0.488 0.371
S 0.254 0.349 0.881
S 0.301 0.672 0.698
S 0.311 0.669 0.064
S 0.400 0.972 0.154
S 0.419 0.338 0.154
S 0.431 0.178 0.670
S 0.491 0.874 0.484
S 0.500 0.496 0.496
S 0.500 0.862 0.862
S 0.509 0.484 0.874
S 0.569 0.670 0.178
S 0.581 0.154 0.338
S 0.600 0.154 0.972
S 0.689 0.064 0.669
S 0.699 0.698 0.672
S 0.746 0.881 0.349
S 0.747 0.371 0.488
S 0.753 0.871 0.988
S 0.754 0.381 0.849
S 0.801 0.198 0.172
S 0.811 0.564 0.169
S 0.900 0.654 0.472
S 0.919 0.654 0.838
S 0.931 0.170 0.678
S 0.991 0.984 0.374